For ZrInHgF6, the GGA-PBE geometry in Alexandria gives the theoretical X-ray powder pattern in this record (Cu Kα X-rays).
No peak broadening, texture or thermal motion is included.

Cell and atoms:
```
data_ZrInHgF6
_cell_length_a 5.471
_cell_length_b 5.995
_cell_length_c 10.421
_cell_angle_alpha 90.00
_cell_angle_beta 90.00
_cell_angle_gamma 90.00
_space_group_name_H-M_alt 'A m m 2'
_space_group_IT_number 38
loop_
_space_group_symop_operation_xyz
'x,y,z'
'-x,-y,z'
'-x,y,z'
'x,-y,z'
'x,y+1/2,z+1/2'
'-x,-y+1/2,z+1/2'
'-x,y+1/2,z+1/2'
'x,-y+1/2,z+1/2'
loop_
_atom_site_label
_atom_site_type_symbol
_atom_site_fract_x
_atom_site_fract_y
_atom_site_fract_z
_atom_site_occupancy
Zr1 Zr 0.000 0.000 0.000 1
In1 In 0.500 0.000 0.333 1
Hg1 Hg 0.000 0.000 0.667 1
F1 F 0.238 0.000 0.154 1
F2 F 0.238 0.231 0.923 1
```

Largest 12 diffraction maxima, low angle first, 2θ = 15–90°:
| d_spacing | 2θ (°) | I_rel |
| --- | --- | --- |
| 5.471 | 16.2 | 18 |
| 3.769 | 23.6 | 100 |
| 3.003 | 29.8 | 51 |
| 2.735 | 32.7 | 8 |
| 2.632 | 34.1 | 15 |
| 2.601 | 34.5 | 11 |
| 2.349 | 38.3 | 30 |
| 2.022 | 44.8 | 47 |
| 1.851 | 49.2 | 18 |
| 1.847 | 49.3 | 9 |
| 1.721 | 53.2 | 12 |
| 1.463 | 63.6 | 11 |